For MgTe4Mo2W2Se2S2, a structure optimized by DFT (GGA-PBE) gives the theoretical powder diffractogram in this record (Cu Kα, 1.54184 Å).
No peak broadening, texture or thermal motion is included.

Atomic structure:
abc: 3.4202 3.4202 42.1599
angles: 90.12 90.12 60.00
Fractional positions:
Mg (0.0000, 0.0000, 0.0000)
Te (0.3298, 0.3298, 0.2478)
Te (0.3315, 0.3315, 0.3367)
Te (0.9960, 0.9960, 0.6841)
Te (0.9980, 0.9980, 0.7731)
Mo (0.3303, 0.3303, 0.1079)
Mo (0.9982, 0.9982, 0.9117)
W (0.3303, 0.3303, 0.7286)
W (0.9974, 0.9974, 0.2922)
Se (0.9961, 0.9961, 0.0688)
Se (0.9978, 0.9978, 0.1468)
S (0.3311, 0.3311, 0.8766)
S (0.3318, 0.3318, 0.9476)

Main lines, sorted by position (2θ from 10° to 90°):
- 2θ = 10.49°, I = 100
- 2θ = 12.60°, I = 13
- 2θ = 30.18°, I = 31
- 2θ = 30.48°, I = 10
- 2θ = 32.03°, I = 12
- 2θ = 34.74°, I = 56
- 2θ = 37.09°, I = 29
- 2θ = 41.27°, I = 42
- 2θ = 42.81°, I = 10
- 2θ = 53.59°, I = 22

---

For VP4, a structure optimized by DFT (GGA-PBE) gives the theoretical powder diffractogram in this record (Cu Kα, 1.54184 Å).
No peak broadening, texture or thermal motion is included.

Atomic structure:
abc: 6.0975 6.0975 5.8491
angles: 98.72 98.72 128.85
Fractional positions:
V (0.0622, 0.9378, 0.7500)
V (0.9378, 0.0622, 0.2500)
P (0.0519, 0.4963, 0.1898)
P (0.1846, 0.3648, 0.6767)
P (0.3648, 0.1846, 0.1767)
P (0.4963, 0.0519, 0.6898)
P (0.5037, 0.9481, 0.3102)
P (0.6352, 0.8154, 0.8233)
P (0.8154, 0.6352, 0.3233)
P (0.9481, 0.5037, 0.8102)

Main lines, sorted by position (2θ from 10° to 90°):
- 2θ = 19.74°, I = 38
- 2θ = 31.35°, I = 100
- 2θ = 32.70°, I = 66
- 2θ = 40.06°, I = 28
- 2θ = 43.87°, I = 24
- 2θ = 47.98°, I = 31
- 2θ = 52.65°, I = 17
- 2θ = 53.22°, I = 42
- 2θ = 54.76°, I = 18
- 2θ = 56.93°, I = 25

---

For Li2BiBO4, a structure optimized by DFT (GGA-PBE) gives the theoretical powder diffractogram in this record (Cu Kα, 1.54184 Å).
No peak broadening, texture or thermal motion is included.

Atomic structure:
abc: 7.1883 5.0252 11.1198
angles: 90.00 91.31 90.00
Fractional positions:
Li (0.0851, 0.1520, 0.2005)
Li (0.0851, 0.3480, 0.7005)
Li (0.1877, 0.2195, 0.9278)
Li (0.1877, 0.2805, 0.4278)
Li (0.8123, 0.7195, 0.5722)
Li (0.8123, 0.7805, 0.0722)
Li (0.9149, 0.6520, 0.2995)
Li (0.9149, 0.8480, 0.7995)
Bi (0.4969, 0.7350, 0.8682)
Bi (0.4969, 0.7650, 0.3682)
Bi (0.5031, 0.2350, 0.6318)
Bi (0.5031, 0.2650, 0.1318)
B (0.1736, 0.7070, 0.0822)
B (0.1736, 0.7930, 0.5822)
B (0.8264, 0.2070, 0.4178)
B (0.8264, 0.2930, 0.9178)
O (0.0445, 0.7181, 0.6646)
O (0.0445, 0.7819, 0.1646)
O (0.2259, 0.0663, 0.5771)
O (0.2259, 0.4337, 0.0771)
O (0.2500, 0.6142, 0.5030)
O (0.2500, 0.8858, 0.0030)
O (0.3850, 0.1499, 0.3101)
O (0.3850, 0.3501, 0.8101)
O (0.6150, 0.6499, 0.1899)
O (0.6150, 0.8501, 0.6899)
O (0.7500, 0.1142, 0.9970)
O (0.7500, 0.3858, 0.4970)
O (0.7741, 0.5663, 0.9229)
O (0.7741, 0.9337, 0.4229)
O (0.9555, 0.2181, 0.8354)
O (0.9555, 0.2819, 0.3354)

Main lines, sorted by position (2θ from 10° to 90°):
- 2θ = 12.32°, I = 100
- 2θ = 23.87°, I = 40
- 2θ = 24.78°, I = 20
- 2θ = 26.77°, I = 39
- 2θ = 27.12°, I = 50
- 2θ = 32.22°, I = 15
- 2θ = 34.37°, I = 30
- 2θ = 34.93°, I = 28
- 2θ = 37.94°, I = 14
- 2θ = 50.83°, I = 16

---

For K2InGaCl6, a structure optimized by DFT (GGA-PBE) gives the theoretical powder diffractogram in this record (Cu Kα, 1.54184 Å).
No peak broadening, texture or thermal motion is included.

Atomic structure:
abc: 7.5990 7.5990 7.5990
angles: 60.00 60.00 60.00
Fractional positions:
K (0.2500, 0.2500, 0.2500)
K (0.7500, 0.7500, 0.7500)
In (0.0000, 0.0000, 0.0000)
Ga (0.5000, 0.5000, 0.5000)
Cl (0.2375, 0.2375, 0.7625)
Cl (0.2375, 0.7625, 0.2375)
Cl (0.2375, 0.7625, 0.7625)
Cl (0.7625, 0.2375, 0.2375)
Cl (0.7625, 0.2375, 0.7625)
Cl (0.7625, 0.7625, 0.2375)

Main lines, sorted by position (2θ from 10° to 90°):
- 2θ = 16.50°, I = 81
- 2θ = 23.41°, I = 85
- 2θ = 33.35°, I = 100
- 2θ = 37.42°, I = 39
- 2θ = 41.15°, I = 38
- 2θ = 47.88°, I = 65
- 2θ = 50.99°, I = 20
- 2θ = 59.60°, I = 21
- 2θ = 64.94°, I = 20
- 2θ = 79.83°, I = 25

---

For TmB2C2, a structure optimized by DFT (GGA-PBE) gives the theoretical powder diffractogram in this record (Cu Kα, 1.54184 Å).
No peak broadening, texture or thermal motion is included.

Atomic structure:
abc: 5.3309 5.3309 3.4822
angles: 90.00 90.00 90.00
Fractional positions:
Tm (0.0000, 0.0000, 0.0000)
Tm (0.5000, 0.5000, 0.0000)
B (0.1363, 0.3637, 0.5000)
B (0.3637, 0.8637, 0.5000)
B (0.6363, 0.1363, 0.5000)
B (0.8637, 0.6363, 0.5000)
C (0.1623, 0.6623, 0.5000)
C (0.3377, 0.1623, 0.5000)
C (0.6623, 0.8377, 0.5000)
C (0.8377, 0.3377, 0.5000)

Main lines, sorted by position (2θ from 10° to 90°):
- 2θ = 23.60°, I = 98
- 2θ = 25.58°, I = 27
- 2θ = 33.62°, I = 42
- 2θ = 35.08°, I = 100
- 2θ = 42.72°, I = 57
- 2θ = 48.29°, I = 19
- 2θ = 54.43°, I = 30
- 2θ = 55.43°, I = 22
- 2θ = 61.07°, I = 29
- 2θ = 79.07°, I = 20

---

For ZrNb2Pd9, a structure optimized by DFT (GGA-PBE) gives the theoretical powder diffractogram in this record (Cu Kα, 1.54184 Å).
No peak broadening, texture or thermal motion is included.

Atomic structure:
abc: 12.5141 12.5141 12.5141
angles: 161.74 161.74 25.93
Fractional positions:
Zr (0.0000, 0.0000, 0.0000)
Nb (0.3331, 0.3331, 0.0000)
Nb (0.6669, 0.6669, 0.0000)
Pd (0.0861, 0.5861, 0.5000)
Pd (0.1682, 0.1682, 0.0000)
Pd (0.2500, 0.7500, 0.5000)
Pd (0.4139, 0.9139, 0.5000)
Pd (0.5000, 0.5000, 0.0000)
Pd (0.5861, 0.0861, 0.5000)
Pd (0.7500, 0.2500, 0.5000)
Pd (0.8318, 0.8318, 0.0000)
Pd (0.9139, 0.4139, 0.5000)

Main lines, sorted by position (2θ from 10° to 90°):
- 2θ = 38.99°, I = 100
- 2θ = 44.58°, I = 17
- 2θ = 45.70°, I = 32
- 2θ = 65.75°, I = 20
- 2θ = 66.61°, I = 10
- 2θ = 78.36°, I = 12
- 2θ = 79.97°, I = 24
- 2θ = 83.73°, I = 10

---

For Sr10MnN8, a structure optimized by DFT (GGA-PBE) gives the theoretical powder diffractogram in this record (Cu Kα, 1.54184 Å).
No peak broadening, texture or thermal motion is included.

Atomic structure:
abc: 11.4283 11.4283 8.6775
angles: 109.72 109.72 24.57
Fractional positions:
Sr (0.0292, 0.0292, 0.3370)
Sr (0.1966, 0.1966, 0.0312)
Sr (0.2059, 0.2059, 0.6221)
Sr (0.3574, 0.3574, 0.7520)
Sr (0.4040, 0.4040, 0.2455)
Sr (0.5960, 0.5960, 0.7545)
Sr (0.6426, 0.6426, 0.2480)
Sr (0.7941, 0.7941, 0.3779)
Sr (0.8034, 0.8034, 0.9688)
Sr (0.9708, 0.9708, 0.6630)
Mn (0.5000, 0.5000, 0.0000)
N (0.0923, 0.0923, 0.6424)
N (0.1927, 0.1927, 0.3280)
N (0.3066, 0.3066, 0.9743)
N (0.4813, 0.4813, 0.7899)
N (0.5187, 0.5187, 0.2101)
N (0.6934, 0.6934, 0.0257)
N (0.8073, 0.8073, 0.6720)
N (0.9077, 0.9077, 0.3576)

Main lines, sorted by position (2θ from 10° to 90°):
- 2θ = 20.94°, I = 21
- 2θ = 26.74°, I = 20
- 2θ = 27.75°, I = 21
- 2θ = 28.07°, I = 100
- 2θ = 32.12°, I = 35
- 2θ = 33.68°, I = 16
- 2θ = 35.20°, I = 15
- 2θ = 36.97°, I = 39
- 2θ = 39.59°, I = 15
- 2θ = 49.77°, I = 20

---

For Y2Si2O7, a structure optimized by DFT (GGA-PBE) gives the theoretical powder diffractogram in this record (Cu Kα, 1.54184 Å).
No peak broadening, texture or thermal motion is included.

Atomic structure:
abc: 4.7599 10.9392 5.6489
angles: 90.00 96.11 90.00
Fractional positions:
Y (0.1082, 0.1511, 0.4064)
Y (0.1082, 0.3489, 0.9064)
Y (0.8918, 0.6511, 0.0936)
Y (0.8918, 0.8489, 0.5936)
Si (0.3616, 0.6116, 0.6446)
Si (0.3616, 0.8884, 0.1446)
Si (0.6384, 0.1116, 0.8554)
Si (0.6384, 0.3884, 0.3554)
O (0.1264, 0.6827, 0.4608)
O (0.1264, 0.8173, 0.9608)
O (0.2054, 0.5506, 0.8645)
O (0.2054, 0.9494, 0.3645)
O (0.3795, 0.2011, 0.7470)
O (0.3795, 0.2989, 0.2470)
O (0.5000, 0.0000, 0.0000)
O (0.5000, 0.5000, 0.5000)
O (0.6205, 0.7011, 0.7530)
O (0.6205, 0.7989, 0.2530)
O (0.7946, 0.0506, 0.6355)
O (0.7946, 0.4494, 0.1355)
O (0.8736, 0.1827, 0.0392)
O (0.8736, 0.3173, 0.5392)

Main lines, sorted by position (2θ from 10° to 90°):
- 2θ = 18.75°, I = 21
- 2θ = 27.15°, I = 62
- 2θ = 28.47°, I = 100
- 2θ = 29.20°, I = 16
- 2θ = 32.75°, I = 16
- 2θ = 32.93°, I = 25
- 2θ = 38.97°, I = 23
- 2θ = 40.55°, I = 23
- 2θ = 43.17°, I = 14
- 2θ = 57.35°, I = 16

---

Repeat the first record exactly.
For MgTe4Mo2W2Se2S2, a structure optimized by DFT (GGA-PBE) gives the theoretical powder diffractogram in this record (Cu Kα, 1.54184 Å).
No peak broadening, texture or thermal motion is included.

Atomic structure:
abc: 3.4202 3.4202 42.1599
angles: 90.12 90.12 60.00
Fractional positions:
Mg (0.0000, 0.0000, 0.0000)
Te (0.3298, 0.3298, 0.2478)
Te (0.3315, 0.3315, 0.3367)
Te (0.9960, 0.9960, 0.6841)
Te (0.9980, 0.9980, 0.7731)
Mo (0.3303, 0.3303, 0.1079)
Mo (0.9982, 0.9982, 0.9117)
W (0.3303, 0.3303, 0.7286)
W (0.9974, 0.9974, 0.2922)
Se (0.9961, 0.9961, 0.0688)
Se (0.9978, 0.9978, 0.1468)
S (0.3311, 0.3311, 0.8766)
S (0.3318, 0.3318, 0.9476)

Main lines, sorted by position (2θ from 10° to 90°):
- 2θ = 10.49°, I = 100
- 2θ = 12.60°, I = 13
- 2θ = 30.18°, I = 31
- 2θ = 30.48°, I = 10
- 2θ = 32.03°, I = 12
- 2θ = 34.74°, I = 56
- 2θ = 37.09°, I = 29
- 2θ = 41.27°, I = 42
- 2θ = 42.81°, I = 10
- 2θ = 53.59°, I = 22

---

Please write out number 5 again, unchanged.
For TmB2C2, a structure optimized by DFT (GGA-PBE) gives the theoretical powder diffractogram in this record (Cu Kα, 1.54184 Å).
No peak broadening, texture or thermal motion is included.

Atomic structure:
abc: 5.3309 5.3309 3.4822
angles: 90.00 90.00 90.00
Fractional positions:
Tm (0.0000, 0.0000, 0.0000)
Tm (0.5000, 0.5000, 0.0000)
B (0.1363, 0.3637, 0.5000)
B (0.3637, 0.8637, 0.5000)
B (0.6363, 0.1363, 0.5000)
B (0.8637, 0.6363, 0.5000)
C (0.1623, 0.6623, 0.5000)
C (0.3377, 0.1623, 0.5000)
C (0.6623, 0.8377, 0.5000)
C (0.8377, 0.3377, 0.5000)

Main lines, sorted by position (2θ from 10° to 90°):
- 2θ = 23.60°, I = 98
- 2θ = 25.58°, I = 27
- 2θ = 33.62°, I = 42
- 2θ = 35.08°, I = 100
- 2θ = 42.72°, I = 57
- 2θ = 48.29°, I = 19
- 2θ = 54.43°, I = 30
- 2θ = 55.43°, I = 22
- 2θ = 61.07°, I = 29
- 2θ = 79.07°, I = 20